For Rb2PdCl5, a crystal structure in OQMD, relaxed with PBE gives the simulated powder XRD pattern in this record (Cu Kα, 1.54184 Å).
Kinematic intensities with the Lorentz-polarization factor, no thermal factor.

Cell and atoms:
```
data_Rb2PdCl5
_symmetry_space_group_name_H-M 'P 1'
_symmetry_Int_Tables_number 1
_cell_length_a 7.0038
_cell_length_b 7.0038
_cell_length_c 4.9900
_cell_angle_alpha 90.00
_cell_angle_beta 90.00
_cell_angle_gamma 90.00
loop_
_symmetry_equiv_pos_as_xyz
'x,y,z'
loop_
_atom_site_label
_atom_site_fract_x
_atom_site_fract_y
_atom_site_fract_z
Rb1 0.0000 0.5000 0.0000
Rb2 0.5000 0.0000 0.0000
Pd1 0.0000 0.0000 0.5000
Cl1 0.0000 0.0000 0.0000
Cl2 0.2384 0.2384 0.5000
Cl3 0.2384 0.7616 0.5000
Cl4 0.7616 0.2384 0.5000
Cl5 0.7616 0.7616 0.5000
```

Most intense lines, 2θ from 10° to 90°, sorted by position:
2theta, Rel. int.
12.6, 86
25.4, 100
28.5, 18
31.2, 47
36.0, 28
36.3, 54
44.8, 34
52.0, 35
52.2, 17
65.1, 17

=====

For Sc5Re24, a crystal structure in OQMD, relaxed with PBE gives the simulated powder XRD pattern in this record (Cu Kα, 1.54184 Å).
Kinematic intensities with the Lorentz-polarization factor, no thermal factor.

Cell and atoms:
```
data_Sc5Re24
_symmetry_space_group_name_H-M 'P 1'
_symmetry_Int_Tables_number 1
_cell_length_a 8.4115
_cell_length_b 8.4115
_cell_length_c 8.4115
_cell_angle_alpha 109.47
_cell_angle_beta 109.47
_cell_angle_gamma 109.47
loop_
_symmetry_equiv_pos_as_xyz
'x,y,z'
loop_
_atom_site_label
_atom_site_fract_x
_atom_site_fract_y
_atom_site_fract_z
Sc1 0.0000 0.0000 0.0000
Sc2 0.0000 0.0000 0.6330
Sc3 0.0000 0.6330 0.0000
Sc4 0.3670 0.3670 0.3670
Sc5 0.6330 0.0000 0.0000
Re1 0.0000 0.1924 0.3775
Re2 0.0000 0.3775 0.1924
Re3 0.0000 0.3970 0.6769
Re4 0.0000 0.6769 0.3970
Re5 0.1851 0.8076 0.8076
Re6 0.1924 0.0000 0.3775
Re7 0.1924 0.3775 0.0000
Re8 0.2798 0.6030 0.6030
Re9 0.3231 0.3231 0.7202
Re10 0.3231 0.7202 0.3231
Re11 0.3775 0.0000 0.1924
Re12 0.3775 0.1924 0.0000
Re13 0.3970 0.0000 0.6769
Re14 0.3970 0.6769 0.0000
Re15 0.6030 0.2798 0.6030
Re16 0.6030 0.6030 0.2798
Re17 0.6225 0.6225 0.8149
Re18 0.6225 0.8149 0.6225
Re19 0.6769 0.0000 0.3970
Re20 0.6769 0.3970 0.0000
Re21 0.7202 0.3231 0.3231
Re22 0.8076 0.1851 0.8076
Re23 0.8076 0.8076 0.1851
Re24 0.8149 0.6225 0.6225
```

Most intense lines, 2θ from 10° to 90°, sorted by position:
2theta, Rel. int.
12.9, 11
22.4, 16
37.0, 11
39.4, 100
43.7, 41
47.7, 41
68.3, 10
71.4, 28
72.9, 12
84.7, 13